# 1
For Tb3Sm6Tm2, the GGA-PBE geometry in Alexandria gives the computed powder XRD pattern in this record (Cu Ka).

The 9 most intense peaks (10 to 80 degrees two-theta), low angle first:
| 2θ/deg | Rel. int. |
| --- | --- |
| 30.58 | 100.0 |
| 35.45 | 50.6 |
| 50.95 | 18.2 |
| 51.07 | 17.9 |
| 60.62 | 32.2 |
| 60.75 | 10.6 |
| 63.60 | 9.3 |
| 63.82 | 3.0 |
| 75.03 | 5.7 |

Atomic structure:
Cell lengths 32.1521, 32.1521, 32.1521 Å; angles 6.39, 6.39, 6.39 degrees
Atoms (fractional coordinates):
1 Tb 0.0000 0.0000 0.0000
2 Tb 0.2725 0.2725 0.2725
3 Tb 0.7275 0.7275 0.7275
4 Sm 0.0913 0.0913 0.0913
5 Sm 0.1822 0.1822 0.1822
6 Sm 0.3638 0.3638 0.3638
7 Sm 0.6362 0.6362 0.6362
8 Sm 0.8178 0.8178 0.8178
9 Sm 0.9087 0.9087 0.9087
10 Tm 0.4546 0.4546 0.4546
11 Tm 0.5454 0.5454 0.5454

---

# 2
For Tm3UOs3, the GGA-PBE geometry in Alexandria gives the computed powder XRD pattern in this record (Cu Ka).

The 10 most intense peaks (10 to 80 degrees two-theta), low angle first:
| 2θ/deg | Rel. int. |
| --- | --- |
| 18.36 | 20.4 |
| 19.10 | 5.4 |
| 32.97 | 10.0 |
| 37.21 | 100.0 |
| 38.76 | 89.4 |
| 54.82 | 33.2 |
| 66.04 | 19.1 |
| 69.15 | 33.5 |
| 70.17 | 16.0 |
| 79.29 | 11.6 |

Atomic structure:
Cell lengths 5.7306, 5.7306, 5.7306 Å; angles 108.33, 108.33, 108.33 degrees
Atoms (fractional coordinates):
1 Tm 0.0000 0.5000 0.5000
2 Tm 0.5000 0.0000 0.5000
3 Tm 0.5000 0.5000 0.0000
4 U 0.0000 0.0000 0.0000
5 Os 0.0000 0.0000 0.5000
6 Os 0.0000 0.5000 0.0000
7 Os 0.5000 0.0000 0.0000

---

# 3
For LiCu6OF11, the GGA-PBE geometry in Alexandria gives the computed powder XRD pattern in this record (Cu Ka).

The 10 most intense peaks (10 to 80 degrees two-theta), low angle first:
| 2θ/deg | Rel. int. |
| --- | --- |
| 26.78 | 61.0 |
| 27.40 | 100.0 |
| 29.77 | 58.6 |
| 32.37 | 38.3 |
| 33.04 | 29.0 |
| 34.66 | 24.6 |
| 47.41 | 18.4 |
| 47.67 | 19.9 |
| 53.63 | 23.8 |
| 56.55 | 19.8 |

Atomic structure:
Cell lengths 4.7973, 5.6886, 8.3622 Å; angles 86.72, 83.27, 83.71 degrees
Atoms (fractional coordinates):
1 Li 0.0000 0.0000 0.0000
2 Cu 0.2064 0.7230 0.4055
3 Cu 0.2132 0.0652 0.6920
4 Cu 0.2173 0.4035 0.0385
5 Cu 0.5579 0.7601 0.0858
6 Cu 0.7043 0.2280 0.3783
7 Cu 0.7156 0.5664 0.7286
8 O 0.4961 0.5705 0.9282
9 F 0.0061 0.3327 0.8115
10 F 0.3895 0.0776 0.9844
11 F 0.4198 0.4548 0.2907
12 F 0.4367 0.7766 0.6204
13 F 0.4912 0.9117 0.2891
14 F 0.4944 0.2575 0.5923
15 F 0.9215 0.2297 0.1629
16 F 0.9275 0.5332 0.5108
17 F 0.9394 0.8783 0.8043
18 F 0.9848 0.6994 0.1165
19 F 0.9941 0.0197 0.4695